Structure and calculated PXRD pattern of Ti6Ga10Fe (DFT lattice parameters and positions (PBE); λ = 1.5418 Å (Cu Kα)).
No peak broadening, texture or thermal motion is included.

Crystal structure
```
Ti6Ga10Fe
1.0
7.7025 0.0000 0.0000
-3.8513 6.6706 0.0000
0.0000 0.0000 5.2870
Ti Ga Fe
6 10 1
Direct
0.0000 0.3899 0.2260
0.0000 0.6101 0.7740
0.3899 0.0000 0.2260
0.3899 0.3899 0.7740
0.6101 0.0000 0.7740
0.6101 0.6101 0.2260
0.0000 0.2436 0.7076
0.0000 0.7564 0.2924
0.2436 0.0000 0.7076
0.2436 0.2436 0.2924
0.3333 0.6667 0.0000
0.3333 0.6667 0.5000
0.6667 0.3333 0.0000
0.6667 0.3333 0.5000
0.7564 0.0000 0.2924
0.7564 0.7564 0.7076
0.0000 0.0000 0.0000
```

Principal peaks in the range 2θ = 10–90°, by angle:
hkl	Position (°2θ)	I (rel.)
2 1 0	35.61	25
2 1 1	39.60	100
3 0 0	40.57	56
2 -1 2	41.43	97
2 2 2	59.38	24
5 -2 1	63.26	13
4 1 0	63.96	14
2 1 3	64.51	13